Simulated powder X-ray diffraction pattern of Li4Co3Sn3Sb2O16 for λ = 1.5418 Å (Cu Kα), from DFT lattice parameters and positions (GGA+U).
Intensities are scaled so that the largest is 1000.

Largest 10 diffraction maxima, sorted by position, 2θ from 10° to 90°:
d (Å), 2theta, I/Imax
4.933, 17.98, 398
4.721, 18.80, 1000
4.694, 18.90, 489
3.640, 24.45, 301
3.616, 24.62, 305
2.794, 32.03, 348
2.614, 34.30, 524
2.589, 34.65, 402
2.580, 34.77, 489
1.547, 59.79, 313

abc: 6.1875 6.1875 9.8657
angles: 90.48 90.48 59.90
Atoms (fractional coordinates):
Li1 0.0000 0.0000 0.0000
Li2 0.0076 0.0076 0.5199
Li3 0.3235 0.3235 0.6011
Li4 0.6589 0.6589 0.0873
Co1 0.1608 0.1608 0.2847
Co2 0.3317 0.8142 0.7863
Co3 0.8142 0.3317 0.7863
Sn1 0.1582 0.6507 0.2849
Sn2 0.6507 0.1582 0.2849
Sn3 0.8188 0.8188 0.7855
Sb1 0.3167 0.3167 0.0052
Sb2 0.6481 0.6481 0.5196
O1 0.0305 0.4739 0.1509
O2 0.1574 0.1574 0.9077
O3 0.1567 0.6483 0.9102
O4 0.3249 0.8197 0.4035
O5 0.3265 0.3265 0.3953
O6 0.4718 0.4718 0.1515
O7 0.4739 0.0305 0.1509
O8 0.5057 0.5057 0.6461
O9 0.5126 0.9520 0.6421
O10 0.6483 0.1567 0.9102
O11 0.6592 0.6592 0.8902
O12 0.8197 0.3249 0.4035
O13 0.8224 0.8224 0.4025
O14 0.9520 0.5126 0.6421
O15 0.9875 0.9875 0.7023
O16 0.9894 0.9894 0.1903